# La2GaBiO6
Theoretical powder X-ray diffraction pattern, Cu Ka. Input: a structure optimized by DFT (PBE).

The 8 most intense peaks (5° ≤ 2θ ≤ 70°), most intense first:
hkl  2θ (°)  d [Å]  Rel. int.
1 1 1  28.34  3.149  100
2 0 0  32.49  2.756  35
3 1 1  55.45  1.657  31
2 0 2  47.38  1.919  27
2 2 0  46.61  1.949  20
0 0 2  33.53  2.673  12
1 1 3  56.81  1.621  11
1 0 0  16.08  5.512  10

Structural model:
```
La2GaBiO6
1.0
5.512 0.000 0.000
0.000 5.512 0.000
0.000 0.000 5.346
La Ga Bi O
2 1 1 6
Direct
0.000 0.500 0.000 La
0.500 0.000 0.000 La
0.000 0.000 0.590 Ga
0.500 0.500 0.558 Bi
0.000 0.000 0.241 O
0.234 0.234 0.737 O
0.234 0.766 0.737 O
0.500 0.500 0.126 O
0.766 0.234 0.737 O
0.766 0.766 0.737 O
```